For Pa2Co3O9, a structure optimized by DFT (GGA+U) gives the theoretical powder XRD pattern in this record (Cu Kα, 1.54184 Å).
Intensities are scaled so that the largest is 100.

Principal peaks in the range 2θ from 10° to 90°, sorted by position:
Position (°2θ)	d [Å]	I (rel.)	index
16.32	5.432	61.6	1 0 0
23.52	3.782	70.3	1 0 2
28.46	3.136	44.2	1 1 0
30.30	2.950	78.9	1 0 3
32.98	2.716	26.3	2 0 0
33.25	2.695	100.0	1 1 2
34.08	2.631	37.5	0 0 4
46.19	1.965	29.0	1 0 5
51.56	1.773	56.9	1 2 3
55.16	1.665	33.7	2 0 5

Atomic structure:
```
28
Lattice="6.2719 0.0000 0.0000 -3.1359 5.4316 0.0000 0.0000 0.0000 10.5401" Properties=species:S:1:pos:R:3 pbc="T T T"
Pa 0.0000 3.6211 0.5725
Pa 0.0000 3.6211 4.6975
Pa 3.1359 1.8105 5.8426
Pa 3.1359 1.8105 9.9675
Co -1.8703 4.2546 7.9050
Co 0.3865 1.6845 7.9050
Co 1.6521 0.5076 2.6350
Co 1.4839 4.9240 7.9050
Co 2.7495 3.7471 2.6350
Co 5.0063 1.1769 2.6350
O -1.6231 3.6030 6.1476
O -1.6231 3.6030 9.6625
O -1.6568 4.0349 2.6350
O 0.4700 1.9793 2.6350
O 0.8272 2.2244 6.1476
O 0.8272 2.2244 9.6625
O 1.9491 0.5826 7.9050
O 2.3400 0.3958 0.8776
O 2.3400 0.3958 4.3924
O 0.7959 5.0358 6.1476
O 0.7959 5.0358 9.6625
O 1.1868 4.8490 2.6350
O 2.3087 3.2072 0.8776
O 2.3087 3.2072 4.3924
O 2.6659 3.4523 7.9050
O 4.7927 1.3967 7.9050
O 4.7591 1.8286 0.8776
O 4.7591 1.8286 4.3924
```